Record 1
This entry pairs a crystal structure of BaSrCeZrO6 with its theoretical X-ray powder pattern. Radiation: Cu Kα X-rays. Structure: a PBE-relaxed structure.

Crystal structure
Unit cell a=8.6031 b=8.6114 c=8.6191 alpha=90.00 beta=90.00 gamma=90.00
Atoms (fractional coordinates):
1 Ba 0.0000 0.0000 0.0000
2 Ba 0.0000 0.0000 0.5000
3 Ba 0.5000 0.0000 0.0000
4 Ba 0.5000 0.5000 0.5000
5 Sr 0.0000 0.5000 0.0000
6 Sr 0.0000 0.5000 0.5000
7 Sr 0.5000 0.0000 0.5000
8 Sr 0.5000 0.5000 0.0000
9 Ce 0.2500 0.2528 0.2505
10 Ce 0.2500 0.7472 0.7495
11 Ce 0.7500 0.2528 0.7495
12 Ce 0.7500 0.7472 0.2505
13 Zr 0.2501 0.2531 0.7495
14 Zr 0.2501 0.7469 0.2505
15 Zr 0.7499 0.2531 0.2505
16 Zr 0.7499 0.7469 0.7495
17 O 0.0066 0.2239 0.7230
18 O 0.0066 0.7761 0.2770
19 O 0.2146 0.2855 0.9926
20 O 0.2146 0.4933 0.7089
21 O 0.2146 0.5067 0.2911
22 O 0.2146 0.7145 0.0074
23 O 0.2746 0.0078 0.7778
24 O 0.2746 0.9922 0.2222
25 O 0.2901 0.2176 0.5076
26 O 0.2901 0.7824 0.4924
27 O 0.4924 0.2905 0.7860
28 O 0.4924 0.7095 0.2140
29 O 0.5076 0.2905 0.2140
30 O 0.5076 0.7095 0.7860
31 O 0.7099 0.2176 0.4924
32 O 0.7099 0.7824 0.5076
33 O 0.7254 0.0078 0.2222
34 O 0.7254 0.9922 0.7778
35 O 0.7854 0.2855 0.0074
36 O 0.7854 0.4933 0.2911
37 O 0.7854 0.5067 0.7089
38 O 0.7854 0.7145 0.9926
39 O 0.9934 0.2239 0.2770
40 O 0.9934 0.7761 0.7230

Main lines, sorted by position (10° ≤ 2θ ≤ 80°):
| (hkl) | 2θ/deg | I (rel.) |
| --- | --- | --- |
| 1 1 1 | 17.84 | 2.5 |
| 0 0 2 | 20.63 | 1.3 |
| 2 0 2 | 29.34 | 100.0 |
| 1 1 3 | 34.55 | 2.1 |
| 0 0 4 | 41.97 | 29.5 |
| 4 2 2 | 52.03 | 44.1 |
| 4 4 0 | 60.85 | 17.5 |
| 0 2 6 | 68.94 | 11.9 |
| 6 0 2 | 69.04 | 6.0 |
| 4 4 4 | 76.67 | 5.6 |

Record 2
This entry pairs a crystal structure of EuMg2H5 with its theoretical X-ray powder pattern. Radiation: Cu Kα X-rays. Structure: a PBE-relaxed structure.

Crystal structure
Unit cell a=3.6871 b=3.6871 c=7.7380 alpha=90.00 beta=90.00 gamma=90.00
Atoms (fractional coordinates):
1 Eu 0.0000 0.0000 0.0000
2 Mg 0.5000 0.5000 0.2934
3 Mg 0.5000 0.5000 0.7066
4 H 0.0000 0.5000 0.2136
5 H 0.0000 0.5000 0.7864
6 H 0.5000 0.0000 0.2136
7 H 0.5000 0.0000 0.7864
8 H 0.5000 0.5000 0.0000

Main lines, sorted by position (10° ≤ 2θ ≤ 80°):
| (hkl) | 2θ/deg | I (rel.) |
| --- | --- | --- |
| 0 0 1 | 11.44 | 100.0 |
| 1 0 0 | 24.14 | 17.6 |
| 1 0 1 | 26.78 | 77.8 |
| 1 0 2 | 33.58 | 61.1 |
| 1 1 0 | 34.40 | 30.0 |
| 0 0 3 | 34.78 | 12.9 |
| 1 1 1 | 36.36 | 24.9 |
| 1 1 3 | 49.72 | 19.6 |
| 2 1 1 | 57.11 | 19.0 |
| 2 1 2 | 61.09 | 21.5 |

Record 3
This entry pairs a crystal structure of RbEr2Cl7 with its theoretical X-ray powder pattern. Radiation: Cu Kα X-rays. Structure: a PBE-relaxed structure.

Crystal structure
Unit cell a=13.2647 b=6.9483 c=12.6153 alpha=90.00 beta=90.00 gamma=90.00
Atoms (fractional coordinates):
1 Rb 0.0422 0.2500 0.1954
2 Rb 0.4578 0.7500 0.6954
3 Rb 0.5422 0.2500 0.3046
4 Rb 0.9578 0.7500 0.8046
5 Er 0.2366 0.2500 0.5401
6 Er 0.2500 0.2500 0.8423
7 Er 0.2500 0.7500 0.3423
8 Er 0.2634 0.7500 0.0401
9 Er 0.7366 0.2500 0.9599
10 Er 0.7500 0.2500 0.6577
11 Er 0.7500 0.7500 0.1577
12 Er 0.7634 0.7500 0.4599
13 Cl 0.1076 0.7500 0.1882
14 Cl 0.1213 0.0096 0.4226
15 Cl 0.1213 0.4904 0.4226
16 Cl 0.1330 0.0099 0.9604
17 Cl 0.1330 0.4901 0.9604
18 Cl 0.1749 0.0109 0.6933
19 Cl 0.1749 0.4891 0.6933
20 Cl 0.3251 0.5109 0.1933
21 Cl 0.3251 0.9891 0.1933
22 Cl 0.3670 0.5099 0.4604
23 Cl 0.3670 0.9901 0.4604
24 Cl 0.3787 0.5096 0.9226
25 Cl 0.3787 0.9904 0.9226
26 Cl 0.3924 0.2500 0.6882
27 Cl 0.6076 0.7500 0.3118
28 Cl 0.6213 0.0096 0.0774
29 Cl 0.6213 0.4904 0.0774
30 Cl 0.6330 0.0099 0.5396
31 Cl 0.6330 0.4901 0.5396
32 Cl 0.6749 0.0109 0.8067
33 Cl 0.6749 0.4891 0.8067
34 Cl 0.8251 0.5109 0.3067
35 Cl 0.8251 0.9891 0.3067
36 Cl 0.8670 0.5099 0.0396
37 Cl 0.8670 0.9901 0.0396
38 Cl 0.8787 0.5096 0.5774
39 Cl 0.8787 0.9904 0.5774
40 Cl 0.8924 0.2500 0.8118

Main lines, sorted by position (10° ≤ 2θ ≤ 80°):
| (hkl) | 2θ/deg | I (rel.) |
| --- | --- | --- |
| 2 0 0 | 13.35 | 87.5 |
| 0 1 1 | 14.55 | 31.5 |
| 2 1 1 | 19.80 | 100.0 |
| 1 1 3 | 25.65 | 78.8 |
| 3 1 3 | 32.07 | 33.2 |
| 3 0 4 | 34.95 | 35.9 |
| 4 2 0 | 37.49 | 39.8 |
| 1 2 4 | 39.17 | 38.9 |
| 5 1 3 | 42.33 | 30.0 |
| 1 3 3 | 45.22 | 19.9 |